# MgTl4Ni4O12
Simulated X-ray diffraction stick pattern, Cu Kα, 1.54184 Å. Input: a GGA+U-relaxed structure.
Intensities are scaled so that the largest is 100.

Top 8 peaks for 2θ from 5° to 70°, in order of falling intensity:
two_theta	intensity
31.86	100
32.84	69
32.99	54
36.03	52
18.29	36
32.52	32
23.79	31
22.19	29

Crystal structure
a = 5.473 Å, b = 5.552 Å, c = 8.599 Å
α = 83.84°, β = 84.00°, γ = 85.46°
Atoms (fractional coordinates):
Mg  0.000  0.000  0.000
Tl  0.140  0.110  0.628
Tl  0.161  0.283  0.225
Tl  0.624  0.583  0.074
Tl  0.676  0.605  0.635
Ni  0.139  0.594  0.871
Ni  0.178  0.699  0.422
Ni  0.589  0.103  0.855
Ni  0.654  0.167  0.401
O  0.003  0.645  0.101
O  0.278  0.698  0.649
O  0.348  0.883  0.943
O  0.354  0.986  0.366
O  0.390  0.355  0.958
O  0.443  0.492  0.321
O  0.528  0.216  0.631
O  0.808  0.166  0.173
O  0.818  0.817  0.837
O  0.890  0.898  0.489
O  0.914  0.290  0.829
O  0.972  0.423  0.465